Entry 1:
Theoretical powder XRD pattern of ZrFeAs2 for Cu Kα, 1.54184 Å, from a GGA-PBE-relaxed structure.

Crystal structure
```
data_ZrFeAs2
_chemical_formula_sum 'Zr1 Fe1 As2'
_space_group_name_H-M_alt 'P 1 m 1'
_space_group_IT_number 6
_cell_length_a 3.420
_cell_length_b 4.282
_cell_length_c 5.291
_cell_angle_alpha 90.00
_cell_angle_beta 108.36
_cell_angle_gamma 90.00
loop_
_space_group_symop_operation_xyz
'x,y,z'
'x,-y,z'
loop_
_atom_site_label
_atom_site_type_symbol
_atom_site_fract_x
_atom_site_fract_y
_atom_site_fract_z
Zr1 Zr 0.000 0.000 0.000
Fe1 Fe 0.374 0.500 0.698
As1 As 0.277 0.000 0.555
As2 As 0.587 0.500 0.168
```

Largest 10 diffraction maxima, in order of rising 2θ, 10 to 80 degrees two-theta:
2.587 Å, I = 100
2.578 Å, I = 82
2.511 Å, I = 31
2.403 Å, I = 49
2.382 Å, I = 53
2.166 Å, I = 87
2.141 Å, I = 66
1.710 Å, I = 32
1.599 Å, I = 38
1.336 Å, I = 43


Entry 2:
Theoretical powder XRD pattern of GaAs for Cu Kα, 1.54184 Å, from a GGA-PBE-relaxed structure.

Crystal structure
```
data_GaAs
_chemical_formula_sum 'Ga2 As2'
_space_group_name_H-M_alt 'P 63 m c'
_space_group_IT_number 186
_space_group_name_Hall 'P 6c -2c'
_cell_length_a 4.0501
_cell_length_b 4.0501
_cell_length_c 6.6732
_cell_angle_alpha 90.00
_cell_angle_beta 90.00
_cell_angle_gamma 120.00
loop_
_atom_site_label
_atom_site_type_symbol
_atom_site_fract_x
_atom_site_fract_y
_atom_site_fract_z
Ga1 Ga 0.3333 0.6667 0.0000
As1 As 0.3333 0.6667 0.6259
```

Largest 10 diffraction maxima, in order of rising 2θ, 10 to 80 degrees two-theta:
3.508 Å, I = 100
3.337 Å, I = 58
3.105 Å, I = 65
2.418 Å, I = 36
2.025 Å, I = 86
1.879 Å, I = 87
1.754 Å, I = 13
1.731 Å, I = 51
1.377 Å, I = 31
1.247 Å, I = 22